Calculated powder diffraction line list of HfCoGe for CuKα, from a crystal structure in the Materials Project, relaxed with GGA-PBE.
No peak broadening, texture or thermal motion is included.

The 8 most intense peaks (10° ≤ 2θ ≤ 90°), low angle first:
2θ = 25.91°, rel. 25; 2θ = 36.52°, rel. 52; 2θ = 37.08°, rel. 31; 2θ = 38.01°, rel. 100; 2θ = 39.81°, rel. 21; 2θ = 44.09°, rel. 37; 2θ = 46.47°, rel. 30; 2θ = 72.03°, rel. 18

Atomic structure:
a b c (Å): 6.527 3.908 7.243
angles (deg): 90.00 90.00 90.00
Fractional coordinates of all 12 atoms:
Hf: 0.011 0.250 0.198
Hf: 0.489 0.750 0.698
Hf: 0.511 0.250 0.302
Hf: 0.989 0.750 0.802
Co: 0.141 0.250 0.571
Co: 0.359 0.750 0.071
Co: 0.641 0.250 0.929
Co: 0.859 0.750 0.429
Ge: 0.228 0.750 0.393
Ge: 0.272 0.250 0.893
Ge: 0.728 0.750 0.107
Ge: 0.772 0.250 0.607

Calculated powder diffraction line list of Ca3Sn4S11 for CuKα, from a crystal structure in the Materials Project, relaxed with GGA-PBE.
No peak broadening, texture or thermal motion is included.

The 8 most intense peaks (10° ≤ 2θ ≤ 90°), low angle first:
2θ = 11.51°, rel. 84; 2θ = 23.07°, rel. 66; 2θ = 24.12°, rel. 62; 2θ = 27.58°, rel. 100; 2θ = 30.48°, rel. 67; 2θ = 32.53°, rel. 66; 2θ = 35.36°, rel. 85; 2θ = 39.70°, rel. 68

Atomic structure:
a b c (Å): 9.101 9.894 10.424
angles (deg): 99.04 100.29 106.81
Fractional coordinates of all 36 atoms:
Ca: 0.126 0.216 0.373
Ca: 0.307 0.102 0.981
Ca: 0.314 0.657 0.528
Ca: 0.686 0.343 0.472
Ca: 0.693 0.898 0.019
Ca: 0.874 0.784 0.627
Sn: 0.077 0.744 0.228
Sn: 0.165 0.646 0.860
Sn: 0.411 0.080 0.653
Sn: 0.427 0.546 0.157
Sn: 0.573 0.454 0.843
Sn: 0.589 0.920 0.347
Sn: 0.835 0.354 0.140
Sn: 0.923 0.256 0.772
S: 0.008 0.107 0.990
S: 0.051 0.436 0.555
S: 0.064 0.079 0.587
S: 0.183 0.476 0.248
S: 0.206 0.857 0.750
S: 0.306 0.386 0.913
S: 0.316 0.900 0.419
S: 0.379 0.782 0.103
S: 0.392 0.153 0.263
S: 0.427 0.328 0.592
S: 0.470 0.667 0.794
S: 0.530 0.333 0.206
S: 0.573 0.672 0.408
S: 0.608 0.847 0.737
S: 0.621 0.218 0.897
S: 0.684 0.100 0.581
S: 0.694 0.614 0.087
S: 0.794 0.143 0.250
S: 0.817 0.524 0.752
S: 0.936 0.921 0.413
S: 0.949 0.564 0.445
S: 0.992 0.893 0.010

Calculated powder diffraction line list of LaAu3 for CuKα, from a crystal structure in the Materials Project, relaxed with GGA-PBE.
No peak broadening, texture or thermal motion is included.

The 8 most intense peaks (10° ≤ 2θ ≤ 90°), low angle first:
2θ = 31.10°, rel. 25; 2θ = 36.40°, rel. 100; 2θ = 37.40°, rel. 22; 2θ = 49.40°, rel. 14; 2θ = 55.33°, rel. 18; 2θ = 66.81°, rel. 17; 2θ = 68.05°, rel. 14; 2θ = 68.69°, rel. 19

Atomic structure:
a b c (Å): 6.642 6.642 4.810
angles (deg): 90.00 90.00 120.00
Fractional coordinates of all 8 atoms:
La: 0.333 0.667 0.250
La: 0.667 0.333 0.750
Au: 0.153 0.306 0.750
Au: 0.153 0.847 0.750
Au: 0.306 0.153 0.250
Au: 0.694 0.847 0.750
Au: 0.847 0.153 0.250
Au: 0.847 0.694 0.250

Calculated powder diffraction line list of Ti2Fe for CuKα, from a crystal structure in the Materials Project, relaxed with GGA-PBE.
No peak broadening, texture or thermal motion is included.

The 8 most intense peaks (10° ≤ 2θ ≤ 90°), low angle first:
2θ = 13.67°, rel. 14; 2θ = 39.34°, rel. 27; 2θ = 41.83°, rel. 100; 2θ = 45.74°, rel. 27; 2θ = 48.69°, rel. 10; 2θ = 71.32°, rel. 25; 2θ = 73.03°, rel. 7; 2θ = 86.25°, rel. 15

Atomic structure:
a b c (Å): 7.934 7.934 7.934
angles (deg): 60.00 60.00 60.00
Fractional coordinates of all 24 atoms:
Ti: 0.000 0.000 0.000
Ti: 0.000 0.000 0.500
Ti: 0.000 0.500 0.000
Ti: 0.185 0.185 0.565
Ti: 0.185 0.565 0.185
Ti: 0.185 0.565 0.565
Ti: 0.435 0.435 0.815
Ti: 0.435 0.815 0.435
Ti: 0.435 0.815 0.815
Ti: 0.500 0.000 0.000
Ti: 0.565 0.185 0.185
Ti: 0.565 0.185 0.565
Ti: 0.565 0.565 0.185
Ti: 0.815 0.435 0.435
Ti: 0.815 0.435 0.815
Ti: 0.815 0.815 0.435
Fe: 0.139 0.787 0.787
Fe: 0.213 0.213 0.213
Fe: 0.213 0.213 0.861
Fe: 0.213 0.861 0.213
Fe: 0.787 0.139 0.787
Fe: 0.787 0.787 0.139
Fe: 0.787 0.787 0.787
Fe: 0.861 0.213 0.213

Calculated powder diffraction line list of Ba3PbO for CuKα, from a crystal structure in the Materials Project, relaxed with GGA-PBE.
No peak broadening, texture or thermal motion is included.

The 8 most intense peaks (10° ≤ 2θ ≤ 90°), low angle first:
2θ = 27.83°, rel. 100; 2θ = 32.24°, rel. 58; 2θ = 46.24°, rel. 42; 2θ = 54.83°, rel. 46; 2θ = 57.49°, rel. 15; 2θ = 74.48°, rel. 19; 2θ = 76.76°, rel. 19; 2θ = 85.71°, rel. 15

Atomic structure:
a b c (Å): 5.553 5.553 5.553
angles (deg): 90.00 90.00 90.00
Fractional coordinates of all 5 atoms:
Ba: 0.000 0.000 0.500
Ba: 0.000 0.500 0.000
Ba: 0.500 0.000 0.000
Pb: 0.500 0.500 0.500
O: 0.000 0.000 0.000

Calculated powder diffraction line list of KScO3 for CuKα, from a crystal structure in the Materials Project, relaxed with GGA-PBE.
No peak broadening, texture or thermal motion is included.

The 8 most intense peaks (10° ≤ 2θ ≤ 90°), low angle first:
2θ = 21.10°, rel. 12; 2θ = 30.01°, rel. 100; 2θ = 36.98°, rel. 16; 2θ = 42.96°, rel. 65; 2θ = 53.29°, rel. 36; 2θ = 62.38°, rel. 35; 2θ = 70.76°, rel. 14; 2θ = 86.48°, rel. 17

Atomic structure:
a b c (Å): 4.211 4.211 4.211
angles (deg): 90.00 90.00 90.00
Fractional coordinates of all 5 atoms:
K: 0.000 0.000 0.000
Sc: 0.500 0.500 0.500
O: 0.000 0.500 0.500
O: 0.500 0.000 0.500
O: 0.500 0.500 0.000